For LaSmNi8B2, a DFT-relaxed cell (GGA-PBE, OQMD) gives the calculated powder diffractogram in this record (Cu Kα, 1.54184 Å).

Top 8 peaks for 10 to 90 degrees two-theta, by intensity:
- (1 1 2), 44.0°, I 100
- (1 0 2), 32.6°, I 82
- (2 0 0), 41.1°, I 76
- (1 1 0), 35.4°, I 29
- (2 1 2), 61.8°, I 26
- (3 0 2), 69.5°, I 24
- (2 2 0), 74.8°, I 22
- (1 1 4), 64.4°, I 15

Atomic structure:
```
data_LaSmNi8B2
_space_group_name_H-M_alt 'P 1'
_space_group_IT_number 1
_space_group_name_Hall 'P 1'
_cell_length_a 5.075
_cell_length_b 5.075
_cell_length_c 7.041
_cell_angle_alpha 90.00
_cell_angle_beta 90.00
_cell_angle_gamma 120.00
loop_
_atom_site_label
_atom_site_type_symbol
_atom_site_fract_x
_atom_site_fract_y
_atom_site_fract_z
La1 La 0.000 0.000 0.000
Sm1 Sm 0.000 0.000 0.500
Ni1 Ni 0.000 0.500 0.295
Ni2 Ni 0.000 0.500 0.705
Ni3 Ni 0.333 0.667 0.000
Ni4 Ni 0.500 0.000 0.295
Ni5 Ni 0.500 0.000 0.705
Ni6 Ni 0.500 0.500 0.295
Ni7 Ni 0.500 0.500 0.705
Ni8 Ni 0.667 0.333 0.000
B1 B 0.333 0.667 0.500
B2 B 0.667 0.333 0.500
```